The following is a computed X-ray diffraction stick pattern of Rb2Cd4In5. It was derived from a PBE-relaxed structure, using Cu Kα (λ = 1.5418 Å).
No peak broadening, texture or thermal motion is included.

```
Rb2Cd4In5
1.0
7.538 -3.224 0.000
7.538 3.224 0.000
-6.234 0.000 7.445
Rb Cd In
2 4 5
direct
0.216 0.216 0.279
0.784 0.784 0.721
0.135 0.135 0.573
0.257 0.257 0.949
0.743 0.743 0.051
0.865 0.865 0.427
0.231 0.710 0.252
0.290 0.769 0.748
0.500 0.500 0.000
0.710 0.231 0.252
0.769 0.290 0.748
```

Most intense lines, 10 to 80 degrees two-theta, by angle:
2theta	Rel. int.
11.91	66
16.50	56
28.66	85
31.78	100
32.80	78
33.36	72
34.64	63
36.89	86
37.55	64
40.24	52